No. 1
Diffraction record for Rb3Na2Pb8. The X-ray powder pattern is computed, not measured: it uses a structure optimized by DFT (PBE) and Cu Kα (weighted mean of Kα1 and Kα2).

Most intense lines, 15° ≤ 2θ ≤ 90°, low angle first:
2θ 16.56, 5.352 Å, I 100; 2θ 21.03, 4.225 Å, I 41; 2θ 27.79, 3.210 Å, I 35; 2θ 28.40, 3.142 Å, I 80; 2θ 28.52, 3.130 Å, I 50; 2θ 29.48, 3.030 Å, I 42; 2θ 33.49, 2.676 Å, I 83; 2θ 36.63, 2.453 Å, I 41; 2θ 39.13, 2.302 Å, I 45; 2θ 46.53, 1.952 Å, I 35

Cell and atoms:
```
Rb3Na2Pb8
1.0
3.6753 2.1220 13.1784
-3.6753 2.1220 13.1784
0.0000 -4.2439 13.1784
Rb Na Pb
3 2 8
direct
0.0000 0.0000 0.0000
0.2006 0.2006 0.2006
0.7994 0.7994 0.7994
0.4656 0.4656 0.4656
0.5344 0.5344 0.5344
0.1941 0.7711 0.7711
0.2289 0.2289 0.8059
0.2289 0.8059 0.2289
0.3714 0.3714 0.3714
0.6286 0.6286 0.6286
0.7711 0.1941 0.7711
0.7711 0.7711 0.1941
0.8059 0.2289 0.2289
```



No. 2
Diffraction record for Pr3H6Ru. The X-ray powder pattern is computed, not measured: it uses a structure optimized by DFT (PBE) and Cu Kα (weighted mean of Kα1 and Kα2).

Most intense lines, 15° ≤ 2θ ≤ 90°, low angle first:
2θ 29.74, 3.004 Å, I 50; 2θ 30.30, 2.950 Å, I 100; 2θ 31.19, 2.867 Å, I 14; 2θ 34.17, 2.624 Å, I 24; 2θ 45.89, 1.978 Å, I 15; 2θ 46.96, 1.935 Å, I 13; 2θ 48.82, 1.866 Å, I 13; 2θ 58.79, 1.571 Å, I 14; 2θ 59.72, 1.548 Å, I 11; 2θ 60.93, 1.521 Å, I 12

Cell and atoms:
```
Pr3H6Ru
1.0
4.4287 -6.0173 0.0000
4.4287 6.0173 0.0000
0.0000 0.0000 5.2485
Pr H Ru
6 12 2
direct
0.1146 0.8854 0.5000
0.1902 0.4159 0.5131
0.4159 0.1902 0.0131
0.5841 0.8098 0.5131
0.8098 0.5841 0.0131
0.8854 0.1146 0.0000
0.1071 0.6121 0.2062
0.1435 0.1475 0.2606
0.1475 0.1435 0.7606
0.2858 0.7142 0.7209
0.3879 0.8929 0.2062
0.4499 0.5501 0.1978
0.5501 0.4499 0.6978
0.6121 0.1071 0.7062
0.7142 0.2858 0.2209
0.8525 0.8565 0.2606
0.8565 0.8525 0.7606
0.8929 0.3879 0.7062
0.3216 0.6784 0.0492
0.6784 0.3216 0.5492
```



No. 3
Diffraction record for AcTb5Sm6. The X-ray powder pattern is computed, not measured: it uses a structure optimized by DFT (PBE) and Cu Kα (weighted mean of Kα1 and Kα2).

Most intense lines, 15° ≤ 2θ ≤ 90°, low angle first:
2θ 30.15, 2.964 Å, I 100; 2θ 34.95, 2.567 Å, I 51; 2θ 50.26, 1.815 Å, I 36; 2θ 59.71, 1.549 Å, I 14; 2θ 59.74, 1.548 Å, I 29; 2θ 62.68, 1.482 Å, I 12; 2θ 73.82, 1.284 Å, I 6; 2θ 81.75, 1.178 Å, I 15; 2θ 81.80, 1.177 Å, I 3; 2θ 84.36, 1.148 Å, I 16

Cell and atoms:
```
AcTb5Sm6
1.0
3.1447 -5.4433 0.0000
3.1447 5.4433 0.0000
-2.0922 0.0000 11.8619
Ac Tb Sm
1 5 6
direct
0.0000 0.0000 0.0000
0.1672 0.8328 0.5000
0.3334 0.6666 0.0000
0.5000 0.5000 0.5000
0.6666 0.3334 0.0000
0.8328 0.1672 0.5000
0.0847 0.4211 0.2542
0.2514 0.2514 0.7454
0.4211 0.0847 0.2542
0.5789 0.9153 0.7458
0.7486 0.7486 0.2546
0.9153 0.5789 0.7458
```



No. 4
Diffraction record for MgBe2Si. The X-ray powder pattern is computed, not measured: it uses a structure optimized by DFT (PBE) and Cu Kα (weighted mean of Kα1 and Kα2).

Most intense lines, 15° ≤ 2θ ≤ 90°, low angle first:
2θ 25.72, 3.464 Å, I 47; 2θ 32.74, 2.736 Å, I 100; 2θ 32.84, 2.727 Å, I 85; 2θ 38.59, 2.333 Å, I 28; 2θ 39.02, 2.309 Å, I 30; 2θ 42.64, 2.120 Å, I 40; 2θ 46.00, 1.973 Å, I 51; 2θ 46.39, 1.957 Å, I 77; 2θ 49.33, 1.847 Å, I 35; 2θ 67.21, 1.393 Å, I 20

Cell and atoms:
```
MgBe2Si
1.0
4.2413 0.0000 0.0000
0.0000 3.6950 0.0000
-2.0339 0.0000 6.9282
Mg Be Si
2 4 2
direct
0.1999 0.2500 0.3441
0.8001 0.7500 0.6559
0.0433 0.2500 0.9286
0.3484 0.7500 0.9315
0.6516 0.2500 0.0685
0.9567 0.7500 0.0714
0.3627 0.2500 0.7361
0.6373 0.7500 0.2639
```